The following is a theoretical powder diffraction line list of Li3Mn2CoO6. It was derived from a cell relaxed with PBE+U, using Cu Kα.
Intensities are scaled so that the largest is 100.

The 10 most intense peaks (2θ = 10–90°), low angle first:
h k l, 2θ/deg, intensity
0 1 -2, 18.17, 100
-1 1 2, 34.59, 15
0 2 2, 35.73, 14
1 0 2, 35.99, 13
0 2 -4, 36.80, 9
1 0 -4, 41.46, 28
1 -1 4, 43.72, 49
0 1 -8, 61.32, 7
-1 3 4, 61.70, 7
2 -1 0, 62.38, 7

Structure:
```
data_Li3Mn2CoO6
_chemical_formula_sum 'Li6 Mn4 Co2 O12'
_symmetry_space_group_name_H-M 'P 1'
_symmetry_Int_Tables_number 1
_cell_length_a 2.981
_cell_length_b 6.555
_cell_length_c 12.111
_cell_angle_alpha 102.62
_cell_angle_beta 92.92
_cell_angle_gamma 102.65
loop_
_symmetry_equiv_pos_as_xyz
'x,y,z'
loop_
_atom_site_label
_atom_site_fract_x
_atom_site_fract_y
_atom_site_fract_z
Li1 0.000 0.000 0.000
Li2 0.007 0.009 0.520
Li3 0.290 0.650 0.340
Li4 0.297 0.662 0.861
Li5 0.627 0.321 0.178
Li6 0.670 0.339 0.683
Mn1 0.301 0.656 0.096
Mn2 0.347 0.666 0.592
Mn3 0.950 0.994 0.268
Mn4 0.995 0.005 0.765
Co1 0.648 0.330 0.430
Co2 0.648 0.330 0.930
O1 0.111 0.303 0.306
O2 0.140 0.319 0.806
O3 0.157 0.342 0.055
O4 0.185 0.357 0.554
O5 0.428 0.983 0.158
O6 0.453 0.989 0.878
O7 0.467 0.988 0.375
O8 0.526 0.982 0.638
O9 0.770 0.678 0.223
O10 0.829 0.672 0.486
O11 0.843 0.672 0.982
O12 0.869 0.677 0.703
```